Starting from the GGA-PBE geometry in Alexandria, the XRD peak list of KCeGeS4 was calculated for λ = 1.5418 Å (Cu Kα).

Atomic structure:
```
data_KCeGeS4
_chemical_formula_sum 'K2 Ce2 Ge2 S8'
_symmetry_space_group_name_H-M 'P 1 21/m 1'
_symmetry_Int_Tables_number 11
_cell_length_a 6.6782
_cell_length_b 6.6947
_cell_length_c 8.8454
_cell_angle_alpha 90.00
_cell_angle_beta 107.00
_cell_angle_gamma 90.00
loop_
_symmetry_equiv_pos_as_xyz
'x,y,z'
'-x,-y,-z'
'-x,y+1/2,-z'
'x,-y+1/2,z'
loop_
_atom_site_label
_atom_site_fract_x
_atom_site_fract_y
_atom_site_fract_z
K1 0.2338 0.2500 0.4356
Ce1 0.2685 0.2500 0.9463
Ge1 0.2779 0.7500 0.1800
S1 0.0772 0.7500 0.3382
S2 0.0846 0.7500 0.9271
S3 0.5004 0.0067 0.2173
```

The 10 most intense peaks (15° ≤ 2θ ≤ 90°), sorted by position:
2θ = 16.9°, rel. 91.8, hkl 0 1 1; 2θ = 24.9°, rel. 40.5, hkl 0 1 2; 2θ = 25.4°, rel. 37.3, hkl 1 1 -2; 2θ = 26.6°, rel. 84.7, hkl 0 2 0; 2θ = 28.7°, rel. 32.6, hkl 0 2 1; 2θ = 29.7°, rel. 40.3, hkl 2 0 -2; 2θ = 31.6°, rel. 100.0, hkl 1 1 2; 2θ = 32.7°, rel. 95.5, hkl 2 1 -2; 2θ = 39.0°, rel. 70.8, hkl 2 2 0; 2θ = 40.8°, rel. 61.2, hkl 1 0 -4